For La6Ge3Rh, a structure optimized by DFT (GGA-PBE) gives the computed powder diffraction line list in this record (copper Kα).
Neutral-atom scattering factors, no anomalous dispersion.

Crystal structure
Cell: 11.1145 4.2629 13.4652 Å, 90.00 111.26 90.00°
Element x y z (fractional)
La 0.0121 0.2500 0.3694
La 0.0827 0.2500 0.9086
La 0.2599 0.7500 0.3305
La 0.3377 0.7500 0.1155
La 0.3532 0.7500 0.7818
La 0.3970 0.2500 0.5695
La 0.6030 0.7500 0.4305
La 0.6468 0.2500 0.2182
La 0.6623 0.2500 0.8845
La 0.7401 0.2500 0.6695
La 0.9173 0.7500 0.0914
La 0.9879 0.7500 0.6306
Ge 0.1312 0.2500 0.1508
Ge 0.1804 0.7500 0.5243
Ge 0.4173 0.2500 0.9697
Ge 0.5827 0.7500 0.0303
Ge 0.8196 0.2500 0.4757
Ge 0.8688 0.7500 0.8492
Rh 0.4301 0.2500 0.3014
Rh 0.5699 0.7500 0.6986

Peak list (8 most intense, 2θ = 10–80°, most intense first)
- 33.4°, 2.685 Å, rel. 100
- 33.5°, 2.675 Å, rel. 95
- 29.6°, 3.018 Å, rel. 94
- 42.4°, 2.131 Å, rel. 67
- 34.7°, 2.588 Å, rel. 55
- 29.9°, 2.986 Å, rel. 52
- 39.8°, 2.267 Å, rel. 49
- 25.0°, 3.567 Å, rel. 45


For Pr5Cu2Au5, a structure optimized by DFT (GGA-PBE) gives the computed powder diffraction line list in this record (copper Kα).
Neutral-atom scattering factors, no anomalous dispersion.

Crystal structure
Cell: 8.4518 8.4518 11.6669 Å, 130.34 130.34 28.71°
Element x y z (fractional)
Pr 0.0000 0.0000 0.0000
Pr 0.1010 0.1010 0.4084
Pr 0.1985 0.1985 0.8161
Pr 0.8015 0.8015 0.1839
Pr 0.8990 0.8990 0.5916
Cu 0.3631 0.3631 0.7465
Cu 0.6369 0.6369 0.2535
Au 0.2586 0.2586 0.3323
Au 0.4299 0.4299 0.1438
Au 0.5000 0.5000 0.5000
Au 0.5701 0.5701 0.8562
Au 0.7414 0.7414 0.6677

Peak list (8 most intense, 2θ = 10–80°, most intense first)
- 37.7°, 2.387 Å, rel. 100
- 31.4°, 2.848 Å, rel. 85
- 34.9°, 2.568 Å, rel. 54
- 32.3°, 2.768 Å, rel. 52
- 34.2°, 2.624 Å, rel. 51
- 43.2°, 2.095 Å, rel. 45
- 66.8°, 1.401 Å, rel. 36
- 48.4°, 1.882 Å, rel. 29


For PuPa2PN6, a structure optimized by DFT (GGA-PBE) gives the computed powder diffraction line list in this record (copper Kα).
Neutral-atom scattering factors, no anomalous dispersion.

Crystal structure
Cell: 5.2334 5.2334 4.9102 Å, 90.00 90.00 90.00°
Element x y z (fractional)
Pu 0.0000 0.0000 0.0000
Pa 0.0000 0.5000 0.4626
Pa 0.5000 0.0000 0.4626
P 0.5000 0.5000 0.0505
N 0.0000 0.0000 0.5511
N 0.2760 0.2760 0.1777
N 0.2760 0.7240 0.1777
N 0.5000 0.5000 0.7074
N 0.7240 0.2760 0.1777
N 0.7240 0.7240 0.1777

Peak list (8 most intense, 2θ = 10–80°, most intense first)
- 30.2°, 2.955 Å, rel. 100
- 34.3°, 2.617 Å, rel. 36
- 58.9°, 1.568 Å, rel. 32
- 51.0°, 1.790 Å, rel. 26
- 49.2°, 1.850 Å, rel. 17
- 16.9°, 5.233 Å, rel. 15
- 36.6°, 2.455 Å, rel. 13
- 62.0°, 1.497 Å, rel. 12


For Be2GaCu6, a structure optimized by DFT (GGA-PBE) gives the computed powder diffraction line list in this record (copper Kα).
Neutral-atom scattering factors, no anomalous dispersion.

Crystal structure
Cell: 7.3569 6.2145 4.8271 Å, 82.53 56.88 40.58°
Element x y z (fractional)
Be 0.1649 0.1649 0.8351
Be 0.8351 0.8351 0.1649
Ga 0.5000 0.5000 0.5000
Cu 0.1644 0.8356 0.1644
Cu 0.1723 0.4794 0.5206
Cu 0.4794 0.1723 0.8277
Cu 0.5206 0.8277 0.1723
Cu 0.8277 0.5206 0.4794
Cu 0.8356 0.1644 0.8356

Peak list (8 most intense, 2θ = 10–80°, most intense first)
- 44.9°, 2.021 Å, rel. 100
- 46.0°, 1.974 Å, rel. 29
- 46.2°, 1.964 Å, rel. 23
- 33.8°, 2.655 Å, rel. 19
- 67.2°, 1.393 Å, rel. 14
- 63.3°, 1.469 Å, rel. 10
- 25.9°, 3.446 Å, rel. 9
- 41.0°, 2.202 Å, rel. 5


For Na4ZnBr6, a structure optimized by DFT (GGA-PBE) gives the computed powder diffraction line list in this record (copper Kα).
Neutral-atom scattering factors, no anomalous dispersion.

Crystal structure
Cell: 8.0013 8.0013 14.2327 Å, 108.76 108.76 59.41°
Element x y z (fractional)
Na 0.1022 0.8978 0.5000
Na 0.2465 0.4744 0.0166
Na 0.4559 0.8060 0.8546
Na 0.4744 0.2465 0.5166
Na 0.6737 0.9458 0.1941
Na 0.8060 0.4559 0.3546
Na 0.8978 0.1022 0.0000
Na 0.9458 0.6737 0.6941
Zn 0.2894 0.8423 0.2593
Zn 0.8423 0.2894 0.7593
Br 0.0833 0.5594 0.5127
Br 0.0964 0.6615 0.2090
Br 0.1052 0.1638 0.2126
Br 0.1638 0.1052 0.7126
Br 0.1648 0.7381 0.8929
Br 0.4358 0.8626 0.4393
Br 0.5594 0.0833 0.0127
Br 0.5707 0.6318 0.1716
Br 0.6318 0.5707 0.6716
Br 0.6615 0.0964 0.7090
Br 0.7381 0.1648 0.3929
Br 0.8626 0.4358 0.9393

Peak list (8 most intense, 2θ = 10–80°, most intense first)
- 26.2°, 3.401 Å, rel. 100
- 27.2°, 3.277 Å, rel. 86
- 27.6°, 3.228 Å, rel. 57
- 21.8°, 4.070 Å, rel. 52
- 22.2°, 3.997 Å, rel. 50
- 27.0°, 3.305 Å, rel. 47
- 44.5°, 2.035 Å, rel. 47
- 45.4°, 1.998 Å, rel. 44


For Rb12BiAu6, a structure optimized by DFT (GGA-PBE) gives the computed powder diffraction line list in this record (copper Kα).
Neutral-atom scattering factors, no anomalous dispersion.

Crystal structure
Cell: 10.5078 10.5078 10.5078 Å, 109.47 109.47 109.47°
Element x y z (fractional)
Rb 0.1250 0.8249 0.3001
Rb 0.1751 0.3001 0.4752
Rb 0.1751 0.6999 0.8750
Rb 0.3001 0.1250 0.8249
Rb 0.3001 0.4752 0.1751
Rb 0.4752 0.1751 0.3001
Rb 0.5248 0.8249 0.6999
Rb 0.6999 0.5248 0.8249
Rb 0.6999 0.8750 0.1751
Rb 0.8249 0.3001 0.1250
Rb 0.8249 0.6999 0.5248
Rb 0.8750 0.1751 0.6999
Bi 0.0000 0.0000 0.0000
Au 0.1195 0.6195 0.5000
Au 0.3805 0.5000 0.8805
Au 0.5000 0.1195 0.6195
Au 0.5000 0.8805 0.3805
Au 0.6195 0.5000 0.1195
Au 0.8805 0.3805 0.5000

Peak list (8 most intense, 2θ = 10–80°, most intense first)
- 27.5°, 3.243 Å, rel. 100
- 37.8°, 2.380 Å, rel. 53
- 14.6°, 6.067 Å, rel. 49
- 31.3°, 2.860 Å, rel. 23
- 48.6°, 1.872 Å, rel. 17
- 44.8°, 2.022 Å, rel. 16
- 53.4°, 1.716 Å, rel. 16
- 66.3°, 1.410 Å, rel. 16


For TiClF3, a structure optimized by DFT (GGA-PBE) gives the computed powder diffraction line list in this record (copper Kα).
Neutral-atom scattering factors, no anomalous dispersion.

Crystal structure
Cell: 5.6509 5.6509 9.7774 Å, 90.00 90.00 90.00°
Element x y z (fractional)
Ti 0.1327 0.3652 0.0000
Ti 0.3652 0.8673 0.7500
Ti 0.6348 0.1327 0.2500
Ti 0.8673 0.6348 0.5000
Cl 0.1223 0.6854 0.1224
Cl 0.3146 0.1223 0.3724
Cl 0.6854 0.8777 0.8724
Cl 0.8777 0.3146 0.6224
F 0.0520 0.8015 0.6450
F 0.1431 0.6109 0.4170
F 0.1985 0.0520 0.8950
F 0.2784 0.5461 0.8499
F 0.3891 0.1431 0.6670
F 0.4539 0.2784 0.0999
F 0.5461 0.7216 0.5999
F 0.6109 0.8569 0.1670
F 0.7216 0.4539 0.3499
F 0.8015 0.9480 0.3950
F 0.8569 0.3891 0.9170
F 0.9480 0.1985 0.1451

Peak list (8 most intense, 2θ = 10–80°, most intense first)
- 24.1°, 3.698 Å, rel. 100
- 52.0°, 1.757 Å, rel. 88
- 18.1°, 4.893 Å, rel. 44
- 33.0°, 2.714 Å, rel. 41
- 45.4°, 1.997 Å, rel. 39
- 36.7°, 2.446 Å, rel. 38
- 31.7°, 2.823 Å, rel. 34
- 22.2°, 3.996 Å, rel. 26


For ZrPd8Pt2, a structure optimized by DFT (GGA-PBE) gives the computed powder diffraction line list in this record (copper Kα).
Neutral-atom scattering factors, no anomalous dispersion.

Crystal structure
Cell: 6.6839 6.6839 7.1797 Å, 121.26 121.26 41.33°
Element x y z (fractional)
Zr 0.0000 0.0000 0.0000
Pd 0.0915 0.0915 0.7275
Pd 0.1826 0.1826 0.4504
Pd 0.3639 0.3639 0.9124
Pd 0.4526 0.4526 0.6329
Pd 0.5474 0.5474 0.3671
Pd 0.6361 0.6361 0.0876
Pd 0.8174 0.8174 0.5496
Pd 0.9085 0.9085 0.2725
Pt 0.2753 0.2753 0.1833
Pt 0.7247 0.7247 0.8167

Peak list (8 most intense, 2θ = 10–80°, most intense first)
- 41.3°, 2.185 Å, rel. 100
- 38.2°, 2.359 Å, rel. 31
- 38.4°, 2.344 Å, rel. 31
- 55.3°, 1.662 Å, rel. 21
- 71.1°, 1.326 Å, rel. 20
- 71.4°, 1.320 Å, rel. 19
- 77.3°, 1.235 Å, rel. 8
- 77.4°, 1.233 Å, rel. 8


For NdAg2Au10, a structure optimized by DFT (GGA-PBE) gives the computed powder diffraction line list in this record (copper Kα).
Neutral-atom scattering factors, no anomalous dispersion.

Crystal structure
Cell: 9.5302 7.3140 7.2919 Å, 81.46 49.37 49.17°
Element x y z (fractional)
Nd 0.0000 0.0000 0.0000
Ag 0.0000 0.5000 0.0000
Ag 0.5000 0.0000 0.5000
Au 0.0000 0.0000 0.5000
Au 0.0018 0.3461 0.6539
Au 0.2864 0.4987 0.5013
Au 0.3461 0.0018 0.9982
Au 0.4987 0.2864 0.7136
Au 0.5000 0.5000 0.0000
Au 0.5013 0.7136 0.2864
Au 0.6539 0.9982 0.0018
Au 0.7136 0.5013 0.4987
Au 0.9982 0.6539 0.3461

Peak list (8 most intense, 2θ = 10–80°, most intense first)
- 41.8°, 2.160 Å, rel. 100
- 37.1°, 2.423 Å, rel. 73
- 37.8°, 2.383 Å, rel. 69
- 37.5°, 2.396 Å, rel. 63
- 37.6°, 2.389 Å, rel. 60
- 32.4°, 2.767 Å, rel. 56
- 42.3°, 2.138 Å, rel. 45
- 67.7°, 1.383 Å, rel. 37


For CsCd2Cl5, a structure optimized by DFT (GGA-PBE) gives the computed powder diffraction line list in this record (copper Kα).
Neutral-atom scattering factors, no anomalous dispersion.

Crystal structure
Cell: 6.8386 6.8386 13.4087 Å, 90.00 90.00 130.36°
Element x y z (fractional)
Cs 0.0069 0.9931 0.7500
Cs 0.9931 0.0069 0.2500
Cd 0.3521 0.6479 0.5566
Cd 0.3521 0.6479 0.9434
Cd 0.6479 0.3521 0.0566
Cd 0.6479 0.3521 0.4434
Cl 0.1654 0.8346 0.0285
Cl 0.1654 0.8346 0.4715
Cl 0.2912 0.7088 0.7500
Cl 0.4510 0.5490 0.1179
Cl 0.4510 0.5490 0.3821
Cl 0.5490 0.4510 0.6179
Cl 0.5490 0.4510 0.8821
Cl 0.7088 0.2912 0.2500
Cl 0.8346 0.1654 0.5285
Cl 0.8346 0.1654 0.9715

Peak list (8 most intense, 2θ = 10–80°, most intense first)
- 21.6°, 4.114 Å, rel. 100
- 31.8°, 2.818 Å, rel. 91
- 31.2°, 2.871 Å, rel. 77
- 26.6°, 3.356 Å, rel. 64
- 19.5°, 4.555 Å, rel. 52
- 45.1°, 2.010 Å, rel. 39
- 24.5°, 3.627 Å, rel. 33
- 44.6°, 2.030 Å, rel. 33


For TbEr7Th2, a structure optimized by DFT (GGA-PBE) gives the computed powder diffraction line list in this record (copper Kα).
Neutral-atom scattering factors, no anomalous dispersion.

Crystal structure
Cell: 3.5464 9.3333 9.9541 Å, 105.65 90.04 100.89°
Element x y z (fractional)
Tb 0.0000 0.0000 0.0000
Er 0.0000 0.0000 0.5000
Er 0.2005 0.4019 0.6041
Er 0.3979 0.7946 0.1969
Er 0.4004 0.7995 0.6984
Er 0.5996 0.2005 0.3016
Er 0.6021 0.2054 0.8031
Er 0.7995 0.5981 0.3959
Th 0.2000 0.3996 0.1000
Th 0.8000 0.6004 0.9000

Peak list (8 most intense, 2θ = 10–80°, most intense first)
- 31.0°, 2.886 Å, rel. 100
- 35.9°, 2.500 Å, rel. 45
- 31.1°, 2.872 Å, rel. 33
- 51.9°, 1.762 Å, rel. 24
- 36.1°, 2.489 Å, rel. 22
- 61.7°, 1.504 Å, rel. 19
- 51.8°, 1.766 Å, rel. 16
- 61.4°, 1.510 Å, rel. 14


For Tm2IrOs, a structure optimized by DFT (GGA-PBE) gives the computed powder diffraction line list in this record (copper Kα).
Neutral-atom scattering factors, no anomalous dispersion.

Crystal structure
Cell: 4.7695 4.7695 3.3570 Å, 90.00 90.00 90.00°
Element x y z (fractional)
Tm 0.0000 0.5000 0.0000
Tm 0.5000 0.0000 0.0000
Ir 0.0000 0.0000 0.5000
Os 0.5000 0.5000 0.5000

Peak list (5 most intense, 2θ = 10–80°, most intense first)
- 37.8°, 2.381 Å, rel. 100
- 68.2°, 1.376 Å, rel. 24
- 68.3°, 1.373 Å, rel. 12
- 54.4°, 1.686 Å, rel. 12
- 54.7°, 1.679 Å, rel. 6


For LiPmPr6, a structure optimized by DFT (GGA-PBE) gives the computed powder diffraction line list in this record (copper Kα).
Neutral-atom scattering factors, no anomalous dispersion.

Crystal structure
Cell: 10.8197 10.8190 5.1947 Å, 76.12 76.10 27.78°
Element x y z (fractional)
Li 0.0000 0.0000 0.0000
Pm 0.5000 0.5000 0.5000
Pr 0.1219 0.1219 0.3781
Pr 0.2514 0.2514 0.7486
Pr 0.3781 0.3781 0.1219
Pr 0.6219 0.6219 0.8781
Pr 0.7486 0.7486 0.2514
Pr 0.8781 0.8781 0.6219

Peak list (8 most intense, 2θ = 10–80°, most intense first)
- 30.0°, 2.978 Å, rel. 100
- 34.5°, 2.597 Å, rel. 35
- 59.1°, 1.563 Å, rel. 29
- 50.2°, 1.817 Å, rel. 24
- 35.3°, 2.544 Å, rel. 17
- 60.1°, 1.540 Å, rel. 13
- 62.4°, 1.489 Å, rel. 12
- 49.6°, 1.837 Å, rel. 12